(1)
# Nd3Sm6Tl2
Simulated X-ray powder pattern, Cu Kα. Input: the GGA-PBE geometry in Alexandria.
Lines closer than 0.1° are merged.

Principal peaks in the range 2θ = 10–90°, most intense first:
d 2.878, 2θ = 31.1°, I 100, hkl 1 1 6
d 2.323, 2θ = 38.8°, I 73, hkl 2 0 0
d 2.667, 2θ = 33.6°, I 68, hkl 1 0 11
d 3.231, 2θ = 27.6°, I 57, hkl 1 1 2
d 1.752, 2θ = 52.2°, I 39, hkl 2 1 11
d 2.649, 2θ = 33.8°, I 39, hkl 1 1 8
d 4.330, 2θ = 20.5°, I 27, hkl 1 0 3
d 1.643, 2θ = 56.0°, I 25, hkl 2 2 0
d 1.427, 2θ = 65.4°, I 24, hkl 3 1 6
d 2.421, 2θ = 37.1°, I 20, hkl 1 1 10
d 2.985, 2θ = 29.9°, I 19, hkl 0 0 12
d 1.833, 2θ = 49.7°, I 19, hkl 2 0 12

Cell and atoms:
Lattice parameters (Å, degrees): 4.6459 4.6459 35.8197 90.00 90.00 90.00
Space group I4/mmm (No. 139)
One atom of each set of equivalent atoms:
Nd1 0.0000 0.0000 0.0000 x2
Nd2 0.0000 0.0000 0.1679 x4
Sm1 0.0000 0.0000 0.2719 x4
Sm2 0.0000 0.5000 0.0808 x8
Tl1 0.0000 0.0000 0.3578 x4

---

(2)
# MnHg3
Simulated X-ray powder pattern, Cu Kα. Input: the GGA-PBE geometry in Alexandria.
Lines closer than 0.1° are merged.

Principal peaks in the range 2θ = 10–90°, most intense first:
d 3.161, 2θ = 28.2°, I 100, hkl 0 1 3
d 2.375, 2θ = 37.9°, I 97, hkl 1 1 2
d 2.387, 2θ = 37.7°, I 35, hkl 0 2 0
d 1.944, 2θ = 46.7°, I 25, hkl 1 0 5
d 1.346, 2θ = 69.9°, I 24, hkl 1 1 8
d 2.953, 2θ = 30.3°, I 23, hkl 1 0 1
d 1.507, 2θ = 61.5°, I 23, hkl 1 2 5
d 1.376, 2θ = 68.2°, I 18, hkl 1 3 2
d 1.369, 2θ = 68.6°, I 17, hkl 2 1 3
d 2.109, 2θ = 42.9°, I 13, hkl 0 0 6
d 1.856, 2θ = 49.1°, I 13, hkl 1 2 1
d 1.581, 2θ = 58.4°, I 11, hkl 0 2 6

Cell and atoms:
Lattice parameters (Å, degrees): 3.0366 4.7735 12.6547 90.00 90.00 90.00
Space group Immm (No. 71)
One atom of each set of equivalent atoms:
Mn1 0.0000 0.0000 0.0000 x2
Hg1 0.0000 0.0000 0.5000 x2
Hg2 0.0000 0.5000 0.3082 x4

---

(3)
# La5Nd8Er
Simulated X-ray powder pattern, Cu Kα. Input: the GGA-PBE geometry in Alexandria.
Lines closer than 0.1° are merged.

Principal peaks in the range 2θ = 10–90°, most intense first:
d 2.712, 2θ = 33.0°, I 100, hkl 2 1 3
d 3.130, 2θ = 28.5°, I 93, hkl 1 3 0
d 3.142, 2θ = 28.4°, I 83, hkl 3 0 1
d 3.243, 2θ = 27.5°, I 82, hkl 1 0 3
d 2.653, 2θ = 33.8°, I 63, hkl 3 2 1
d 2.675, 2θ = 33.5°, I 60, hkl 1 3 2
d 1.715, 2θ = 53.4°, I 33, hkl 0 0 6
d 2.894, 2θ = 30.9°, I 28, hkl 2 2 2
d 1.505, 2θ = 61.6°, I 25, hkl 1 3 6
d 1.156, 2θ = 83.6°, I 23, hkl 2 6 6
d 1.565, 2θ = 59.0°, I 22, hkl 2 6 0
d 1.607, 2θ = 57.3°, I 19, hkl 6 1 1

Cell and atoms:
Lattice parameters (Å, degrees): 9.8983 9.8983 10.2959 90.00 90.00 90.00
Space group I-4 (No. 82)
One atom of each set of equivalent atoms:
La1 0.0000 0.0000 0.0000 x2
La2 0.1074 0.7866 0.5794 x8
Nd1 0.0705 0.6697 0.9064 x8
Nd2 0.0784 0.8173 0.2452 x8
Er1 0.0000 0.5000 0.2500 x2

---

(4)
# BeTcRh
Simulated X-ray powder pattern, Cu Kα. Input: the GGA-PBE geometry in Alexandria.
Lines closer than 0.1° are merged.

Principal peaks in the range 2θ = 10–90°, most intense first:
d 2.103, 2θ = 43.0°, I 100, hkl 2 0 0
d 2.028, 2θ = 44.7°, I 97, hkl 1 1 2
d 2.920, 2θ = 30.6°, I 85, hkl 0 2 1
d 1.460, 2θ = 63.7°, I 33, hkl 0 4 2
d 1.200, 2θ = 80.0°, I 23, hkl 2 4 2
d 3.642, 2θ = 24.4°, I 20, hkl 0 2 0
d 1.706, 2θ = 53.7°, I 17, hkl 2 2 1
d 1.215, 2θ = 78.8°, I 14, hkl 3 3 0
d 1.199, 2θ = 80.1°, I 11, hkl 1 5 2
d 1.486, 2θ = 62.5°, I 11, hkl 0 2 3
d 1.326, 2θ = 71.1°, I 10, hkl 3 1 1
d 1.213, 2θ = 78.9°, I 7, hkl 0 6 0

Cell and atoms:
Lattice parameters (Å, degrees): 4.2101 7.2778 4.8839 90.00 90.00 90.00
Space group Cmcm (No. 63)
One atom of each set of equivalent atoms:
Be1 0.0000 0.1669 0.2500 x4
Tc1 0.0000 0.5000 0.0000 x4
Rh1 0.0000 0.1663 0.7500 x4

---

(5)
# K3HgBr5
Simulated X-ray powder pattern, Cu Kα. Input: the GGA-PBE geometry in Alexandria.
Lines closer than 0.1° are merged.

Principal peaks in the range 2θ = 10–90°, most intense first:
d 3.213, 2θ = 27.8°, I 100, hkl 2 1 3
d 4.983, 2θ = 17.8°, I 92, hkl 1 1 2
d 3.000, 2θ = 29.8°, I 83, hkl 2 0 4
d 6.322, 2θ = 14.0°, I 52, hkl 1 1 0
d 1.952, 2θ = 46.5°, I 45, hkl 3 1 6
d 3.161, 2θ = 28.2°, I 44, hkl 2 2 0
d 2.669, 2θ = 33.6°, I 42, hkl 3 1 2
d 2.000, 2θ = 45.3°, I 39, hkl 4 2 0
d 1.957, 2θ = 46.4°, I 29, hkl 4 0 4
d 8.096, 2θ = 10.9°, I 26, hkl 0 0 2
d 3.913, 2θ = 22.7°, I 23, hkl 2 0 2
d 2.491, 2θ = 36.1°, I 23, hkl 2 2 4

Cell and atoms:
Lattice parameters (Å, degrees): 8.9403 8.9403 16.1913 90.00 90.00 90.00
Space group I4/mcm (No. 140)
One atom of each set of equivalent atoms:
K1 0.0000 0.0000 0.2500 x4
K2 0.1579 0.3421 0.0000 x8
Hg1 0.0000 0.5000 0.2500 x4
Br1 0.0000 0.0000 0.0000 x4
Br2 0.1602 0.3398 0.3558 x16

---

(6)
# CoSbS
Simulated X-ray powder pattern, Cu Kα. Input: the GGA-PBE geometry in Alexandria.
Lines closer than 0.1° are merged.

Principal peaks in the range 2θ = 10–90°, most intense first:
d 2.606, 2θ = 34.4°, I 100, hkl 1 1 1
d 1.909, 2θ = 47.6°, I 58, hkl 1 2 1
d 2.502, 2θ = 35.9°, I 57, hkl 0 1 2
d 2.915, 2θ = 30.7°, I 57, hkl 0 0 2
d 4.858, 2θ = 18.3°, I 34, hkl 0 1 0
d 1.716, 2θ = 53.4°, I 28, hkl 1 0 3
d 3.088, 2θ = 28.9°, I 25, hkl 1 0 1
d 1.820, 2θ = 50.1°, I 22, hkl 2 0 0
d 1.472, 2θ = 63.2°, I 21, hkl 2 1 2
d 1.618, 2θ = 56.9°, I 19, hkl 0 3 0
d 3.734, 2θ = 23.8°, I 11, hkl 0 1 1
d 1.867, 2θ = 48.8°, I 11, hkl 0 2 2

Cell and atoms:
Lattice parameters (Å, degrees): 3.6392 4.8581 5.8374 90.00 90.00 90.00
Space group Pmn2_1 (No. 31)
One atom of each set of equivalent atoms:
Co1 0.0000 0.2163 0.0000 x2
Sb1 0.0000 0.4649 0.3729 x2
S1 0.0000 0.0407 0.6378 x2

---

(7)
# Na8B13C3
Simulated X-ray powder pattern, Cu Kα. Input: the GGA-PBE geometry in Alexandria.
Lines closer than 0.1° are merged.

Principal peaks in the range 2θ = 10–90°, most intense first:
d 2.165, 2θ = 41.7°, I 100, hkl 0 4 0
d 2.253, 2θ = 40.0°, I 36, hkl 0 2 2
d 1.495, 2θ = 62.1°, I 13, hkl 2 0 3
d 1.230, 2θ = 77.6°, I 13, hkl 2 4 3
d 2.500, 2θ = 35.9°, I 12, hkl 2 0 1
d 1.250, 2θ = 76.2°, I 11, hkl 2 6 1
d 2.639, 2θ = 34.0°, I 9, hkl 0 0 2
d 1.201, 2θ = 79.9°, I 7, hkl 4 2 2
d 1.636, 2θ = 56.2°, I 7, hkl 2 4 1
d 1.187, 2θ = 81.0°, I 6, hkl 4 4 0
d 1.419, 2θ = 65.8°, I 6, hkl 4 0 0
d 1.262, 2θ = 75.3°, I 5, hkl 0 2 4

Cell and atoms:
Lattice parameters (Å, degrees): 5.6759 8.6584 5.2780 90.00 90.00 90.00
Space group Pmm2 (No. 25)
One atom of each set of equivalent atoms:
Na1 0.0000 0.2470 0.0000 x2
Na2 0.2497 0.2481 0.4999 x4
Na3 0.5000 0.2516 0.9994 x2
B1 0.0000 0.0000 0.3469 x1
B2 0.0000 0.0000 0.6649 x1
B3 0.0000 0.5000 0.6338 x1
B4 0.2495 0.5000 0.1805 x2
B5 0.2488 0.5000 0.8483 x2
B6 0.2562 0.0000 0.1529 x2
B7 0.2623 0.0000 0.8239 x2
B8 0.5000 0.0000 0.3647 x1
B9 0.5000 0.5000 0.6338 x1
C1 0.0000 0.5000 0.3369 x1
C2 0.5000 0.0000 0.6646 x1
C3 0.5000 0.5000 0.3369 x1

---

> Which formula does entry 5 have?

K3HgBr5